[1]
Calculated powder X-ray diffraction pattern
Compound: Ba2LiH6Os
Radiation: a wavelength of 1.5418 Å
Structure: a PBE-relaxed structure
Lines closer than 0.1° are merged.

Peak list (8 most intense, 2θ from 10° to 90°, sorted by position)
2θ 17.75, rel. 27, (0 0 1)
2θ 25.30, rel. 100, (1 0 1)
2θ 31.24, rel. 80, (1 1 0)
2θ 36.16, rel. 28, (1 1 1)
2θ 40.42, rel. 40, (1 0 2)
2θ 40.61, rel. 30, (0 2 1)
2θ 52.11, rel. 27, (2 1 1)
2θ 61.87, rel. 23, (2 1 2)

abc: 5.7268 5.7268 4.9980
angles: 90.00 90.00 120.00
Space group P-3m1 (No. 164)
Inequivalent atoms, fractional coordinates:
Ba  0.3333  0.6667  0.2774 [2 per cell]
Li  0.0000  0.0000  0.0000 [1 per cell]
H  0.1442  0.2885  0.7056 [6 per cell]
Os  0.0000  0.0000  0.5000 [1 per cell]

[2]
Calculated powder X-ray diffraction pattern
Compound: Ba2LiHPb
Radiation: a wavelength of 1.5418 Å
Structure: a PBE-relaxed structure
Lines closer than 0.1° are merged.

Peak list (8 most intense, 2θ from 10° to 90°, sorted by position)
2θ 20.47, rel. 78, (0 1 1)
2θ 25.51, rel. 42, (2 0 0)
2θ 27.15, rel. 100, (0 1 2)
2θ 27.32, rel. 74, (1 1 -2)
2θ 31.23, rel. 58, (2 1 0)
2θ 32.61, rel. 56, (1 1 2)
2θ 33.03, rel. 47, (2 1 -2)
2θ 35.89, rel. 46, (0 2 0)

abc: 7.3085 5.0044 9.1062
angles: 90.00 107.12 90.00
Space group P2_1/m (No. 11)
Inequivalent atoms, fractional coordinates:
Ba  0.2011  0.2500  0.4144 [2 per cell]
Ba  0.2267  0.2500  0.9504 [2 per cell]
Li  0.4261  0.7500  0.2439 [2 per cell]
H  0.1625  0.7500  0.1527 [2 per cell]
Pb  0.3513  0.7500  0.7091 [2 per cell]

[3]
Calculated powder X-ray diffraction pattern
Compound: RbBaLiH4
Radiation: a wavelength of 1.5418 Å
Structure: a PBE-relaxed structure
Lines closer than 0.1° are merged.

Peak list (8 most intense, 2θ from 10° to 90°, sorted by position)
2θ 22.83, rel. 100, (1 1 1)
2θ 24.83, rel. 42, (0 4 0)
2θ 28.90, rel. 89, (1 3 1)
2θ 31.15, rel. 30, (2 0 0)
2θ 31.36, rel. 29, (0 0 2)
2θ 40.23, rel. 24, (2 4 0)
2θ 40.40, rel. 24, (0 4 2)
2θ 44.78, rel. 22, (2 0 2)

abc: 5.7430 14.3443 5.7051
angles: 90.00 90.00 90.00
Space group Cmcm (No. 63)
Inequivalent atoms, fractional coordinates:
Rb  0.0000  0.1032  0.2500 [4 per cell]
Ba  0.0000  0.3746  0.2500 [4 per cell]
Li  0.0000  0.2385  0.7500 [4 per cell]
H  0.0000  0.1012  0.7500 [4 per cell]
H  0.0000  0.4304  0.7500 [4 per cell]
H  0.2500  0.2500  0.0000 [8 per cell]

[4]
Calculated powder X-ray diffraction pattern
Compound: RbBa2LiH
Radiation: a wavelength of 1.5418 Å
Structure: a PBE-relaxed structure
Lines closer than 0.1° are merged.

Peak list (8 most intense, 2θ from 10° to 90°, sorted by position)
2θ 14.21, rel. 24, (0 0 1)
2θ 21.64, rel. 18, (1 1 0)
2θ 25.99, rel. 100, (1 1 1)
2θ 28.65, rel. 20, (0 0 2)
2θ 30.79, rel. 33, (2 0 0)
2θ 42.56, rel. 27, (2 0 2)
2θ 49.16, rel. 17, (1 1 3)
2θ 51.91, rel. 29, (3 1 1)

abc: 5.8075 5.8075 6.2312
angles: 90.00 90.00 90.00
Space group P4/mmm (No. 123)
Inequivalent atoms, fractional coordinates:
Rb  0.0000  0.0000  0.0000 [1 per cell]
Ba  0.0000  0.5000  0.5000 [2 per cell]
Li  0.5000  0.5000  0.0000 [1 per cell]
H  0.0000  0.0000  0.5000 [1 per cell]

[5]
Calculated powder X-ray diffraction pattern
Compound: Ba2LiH6Rh
Radiation: a wavelength of 1.5418 Å
Structure: a PBE-relaxed structure
Lines closer than 0.1° are merged.

Peak list (8 most intense, 2θ from 10° to 90°, sorted by position)
2θ 25.54, rel. 100, (1 0 1)
2θ 31.41, rel. 69, (1 1 0)
2θ 40.92, rel. 58, (0 2 1)
2θ 52.47, rel. 41, (2 1 1)
2θ 55.92, rel. 13, (3 0 0)
2θ 59.25, rel. 13, (0 1 3)
2θ 62.45, rel. 16, (2 1 2)
2θ 77.40, rel. 13, (0 0 4)

abc: 5.6958 5.6958 4.9311
angles: 90.00 90.00 120.00
Space group P-3m1 (No. 164)
Inequivalent atoms, fractional coordinates:
Ba  0.3333  0.6667  0.2635 [2 per cell]
Li  0.0000  0.0000  0.0000 [1 per cell]
H  0.1462  0.2925  0.7114 [6 per cell]
Rh  0.0000  0.0000  0.5000 [1 per cell]

[6]
Calculated powder X-ray diffraction pattern
Compound: Ba6Mg7H26
Radiation: a wavelength of 1.5418 Å
Structure: a PBE-relaxed structure
Lines closer than 0.1° are merged.

Peak list (8 most intense, 2θ from 10° to 90°, sorted by position)
2θ 22.27, rel. 41, (1 2 1)
2θ 28.04, rel. 100, (1 2 3)
2θ 30.08, rel. 27, (0 4 0)
2θ 30.96, rel. 21, (2 0 0)
2θ 43.71, rel. 17, (2 4 0)
2θ 48.03, rel. 19, (1 2 7)
2θ 52.17, rel. 17, (1 6 3)
2θ 53.30, rel. 16, (3 2 3)

abc: 5.7768 11.8846 14.9132
angles: 90.00 90.00 90.00
Space group Immm (No. 71)
Inequivalent atoms, fractional coordinates:
Ba  0.0000  0.0000  0.1435 [4 per cell]
Ba  0.0000  0.2407  0.3526 [8 per cell]
Mg  0.0000  0.2424  0.0000 [4 per cell]
Mg  0.0000  0.5000  0.2185 [4 per cell]
Mg  0.0000  0.5000  0.5000 [2 per cell]
Mg  0.2448  0.0000  0.5000 [4 per cell]
H  0.0000  0.0000  0.4096 [4 per cell]
H  0.0000  0.2256  0.1276 [8 per cell]
H  0.0000  0.5000  0.0868 [4 per cell]
H  0.0000  0.5000  0.3705 [4 per cell]
H  0.2323  0.1625  0.5000 [8 per cell]
H  0.2321  0.3873  0.2459 [16 per cell]
H  0.2491  0.1149  0.0000 [8 per cell]

[7]
Calculated powder X-ray diffraction pattern
Compound: Ba3MgH8
Radiation: a wavelength of 1.5418 Å
Structure: a PBE-relaxed structure
Lines closer than 0.1° are merged.

Peak list (8 most intense, 2θ from 10° to 90°, sorted by position)
2θ 19.00, rel. 17, (1 0 1)
2θ 25.02, rel. 20, (2 0 0)
2θ 28.92, rel. 100, (0 0 2)
2θ 38.54, rel. 13, (2 0 2)
2θ 44.07, rel. 17, (2 2 0)
2θ 51.16, rel. 17, (2 0 3)
2θ 53.55, rel. 33, (2 2 2)
2θ 71.81, rel. 12, (4 2 1)

abc: 8.2198 8.2198 6.1919
angles: 90.00 90.00 120.00
Space group P6_3mc (No. 186)
Inequivalent atoms, fractional coordinates:
Ba  0.1724  0.3448  0.0000 [6 per cell]
Mg  0.3333  0.6667  0.4948 [2 per cell]
H  0.0000  0.0000  0.2693 [2 per cell]
H  0.1003  0.5501  0.2868 [6 per cell]
H  0.1873  0.3747  0.5809 [6 per cell]
H  0.3333  0.6667  0.8231 [2 per cell]

[8]
Calculated powder X-ray diffraction pattern
Compound: Ba2Mg3H10
Radiation: a wavelength of 1.5418 Å
Structure: a PBE-relaxed structure
Lines closer than 0.1° are merged.

Peak list (8 most intense, 2θ from 10° to 90°, sorted by position)
2θ 16.11, rel. 38, (1 1 0)
2θ 22.18, rel. 83, (3 1 -1)
2θ 27.68, rel. 49, (1 1 -2)
2θ 28.14, rel. 100, (3 1 1)
2θ 28.31, rel. 91, (3 1 -2)
2θ 29.96, rel. 60, (6 0 -1)
2θ 30.67, rel. 41, (0 2 0)
2θ 37.06, rel. 43, (0 0 3)

abc: 17.8952 5.8300 7.8394
angles: 90.00 111.88 90.00
Space group C2/m (No. 12)
Inequivalent atoms, fractional coordinates:
Ba  0.1149  0.0000  0.2234 [4 per cell]
Ba  0.2150  0.0000  0.8054 [4 per cell]
Mg  0.0000  0.2450  0.5000 [4 per cell]
Mg  0.0732  0.5000  0.9440 [4 per cell]
Mg  0.1731  0.5000  0.5122 [4 per cell]
H  0.0000  0.2796  0.0000 [4 per cell]
H  0.0234  0.0000  0.6828 [4 per cell]
H  0.0229  0.5000  0.6765 [4 per cell]
H  0.1098  0.2379  0.5174 [8 per cell]
H  0.1344  0.5000  0.2441 [4 per cell]
H  0.1508  0.2630  0.9852 [8 per cell]
H  0.2326  0.5000  0.7745 [4 per cell]
H  0.2500  0.2500  0.5000 [4 per cell]

[9]
Calculated powder X-ray diffraction pattern
Compound: Ba2NaMgH6
Radiation: a wavelength of 1.5418 Å
Structure: a PBE-relaxed structure
Lines closer than 0.1° are merged.

Peak list (8 most intense, 2θ from 10° to 90°, sorted by position)
2θ 18.64, rel. 23, (0 1 2)
2θ 22.72, rel. 76, (0 1 5)
2θ 26.67, rel. 93, (1 0 7)
2θ 31.01, rel. 100, (1 1 0)
2θ 38.79, rel. 21, (2 0 5)
2θ 41.35, rel. 31, (0 2 7)
2θ 46.81, rel. 29, (1 1 12)
2θ 52.58, rel. 28, (2 1 7)

abc: 5.7673 5.7673 31.4867
angles: 90.00 90.00 120.00
Space group R-3m (No. 166, hexagonal axes)
Inequivalent atoms, fractional coordinates:
Ba  0.0000  0.0000  0.1286 [6 per cell]
Ba  0.0000  0.0000  0.2922 [6 per cell]
Na  0.0000  0.0000  0.4089 [6 per cell]
Mg  0.0000  0.0000  0.0000 [3 per cell]
Mg  0.0000  0.0000  0.5000 [3 per cell]
H  0.0092  0.5046  0.1291 [18 per cell]
H  0.0118  0.5059  0.7017 [18 per cell]

What did the sixth record say?
Calculated powder X-ray diffraction pattern
Compound: Ba6Mg7H26
Radiation: a wavelength of 1.5418 Å
Structure: a PBE-relaxed structure
Lines closer than 0.1° are merged.

Peak list (8 most intense, 2θ from 10° to 90°, sorted by position)
2θ 22.27, rel. 41, (1 2 1)
2θ 28.04, rel. 100, (1 2 3)
2θ 30.08, rel. 27, (0 4 0)
2θ 30.96, rel. 21, (2 0 0)
2θ 43.71, rel. 17, (2 4 0)
2θ 48.03, rel. 19, (1 2 7)
2θ 52.17, rel. 17, (1 6 3)
2θ 53.30, rel. 16, (3 2 3)

abc: 5.7768 11.8846 14.9132
angles: 90.00 90.00 90.00
Space group Immm (No. 71)
Inequivalent atoms, fractional coordinates:
Ba  0.0000  0.0000  0.1435 [4 per cell]
Ba  0.0000  0.2407  0.3526 [8 per cell]
Mg  0.0000  0.2424  0.0000 [4 per cell]
Mg  0.0000  0.5000  0.2185 [4 per cell]
Mg  0.0000  0.5000  0.5000 [2 per cell]
Mg  0.2448  0.0000  0.5000 [4 per cell]
H  0.0000  0.0000  0.4096 [4 per cell]
H  0.0000  0.2256  0.1276 [8 per cell]
H  0.0000  0.5000  0.0868 [4 per cell]
H  0.0000  0.5000  0.3705 [4 per cell]
H  0.2323  0.1625  0.5000 [8 per cell]
H  0.2321  0.3873  0.2459 [16 per cell]
H  0.2491  0.1149  0.0000 [8 per cell]

Repeat the sixth record exactly.
Calculated powder X-ray diffraction pattern
Compound: Ba6Mg7H26
Radiation: a wavelength of 1.5418 Å
Structure: a PBE-relaxed structure
Lines closer than 0.1° are merged.

Peak list (8 most intense, 2θ from 10° to 90°, sorted by position)
2θ 22.27, rel. 41, (1 2 1)
2θ 28.04, rel. 100, (1 2 3)
2θ 30.08, rel. 27, (0 4 0)
2θ 30.96, rel. 21, (2 0 0)
2θ 43.71, rel. 17, (2 4 0)
2θ 48.03, rel. 19, (1 2 7)
2θ 52.17, rel. 17, (1 6 3)
2θ 53.30, rel. 16, (3 2 3)

abc: 5.7768 11.8846 14.9132
angles: 90.00 90.00 90.00
Space group Immm (No. 71)
Inequivalent atoms, fractional coordinates:
Ba  0.0000  0.0000  0.1435 [4 per cell]
Ba  0.0000  0.2407  0.3526 [8 per cell]
Mg  0.0000  0.2424  0.0000 [4 per cell]
Mg  0.0000  0.5000  0.2185 [4 per cell]
Mg  0.0000  0.5000  0.5000 [2 per cell]
Mg  0.2448  0.0000  0.5000 [4 per cell]
H  0.0000  0.0000  0.4096 [4 per cell]
H  0.0000  0.2256  0.1276 [8 per cell]
H  0.0000  0.5000  0.0868 [4 per cell]
H  0.0000  0.5000  0.3705 [4 per cell]
H  0.2323  0.1625  0.5000 [8 per cell]
H  0.2321  0.3873  0.2459 [16 per cell]
H  0.2491  0.1149  0.0000 [8 per cell]